1.
Structure and computed XRD peak list of ErMg2Ru (a PBE-relaxed structure; a wavelength of 1.5418 Å).
No peak broadening, texture or thermal motion is included.

Largest 10 diffraction maxima, in order of rising 2θ, 10 to 90 degrees two-theta:
hkl, 2theta, I/Imax
0 2 0, 21.21, 100.0
2 1 1, 23.04, 23.2
4 0 0, 23.30, 24.3
4 2 0, 31.71, 43.6
3 2 1, 32.44, 23.7
5 1 1, 35.59, 28.4
2 1 2, 37.53, 79.1
6 0 1, 39.28, 24.4
0 4 0, 43.19, 22.3
2 3 2, 48.89, 31.7

Structure:
```
data_ErMg2Ru
_space_group_name_H-M_alt 'P n m a'
_space_group_IT_number 62
_space_group_name_Hall '-P 2ac 2n'
_cell_length_a 15.2683
_cell_length_b 8.3783
_cell_length_c 5.2935
_cell_angle_alpha 90.00
_cell_angle_beta 90.00
_cell_angle_gamma 90.00
loop_
_atom_site_label
_atom_site_fract_x
_atom_site_fract_y
_atom_site_fract_z
Er1 0.1098 0.2500 0.2500
Er2 0.1392 0.7500 0.0579
Mg1 0.0396 0.0585 0.7368
Mg2 0.2108 0.5572 0.5490
Ru1 0.0637 0.7500 0.5641
Ru2 0.1870 0.2500 0.7491
```

=====

2.
Structure and computed XRD peak list of YErMgRu (a PBE-relaxed structure; a wavelength of 1.5418 Å).
No peak broadening, texture or thermal motion is included.

Largest 10 diffraction maxima, in order of rising 2θ, 10 to 90 degrees two-theta:
hkl, 2theta, I/Imax
0 0 1, 11.03, 85.5
1 0 0, 25.89, 13.9
1 0 2, 34.33, 100.0
1 1 0, 36.94, 50.8
1 1 1, 38.67, 17.1
1 0 3, 42.82, 35.0
2 0 0, 53.24, 17.5
2 1 2, 64.90, 30.7
1 1 5, 70.26, 11.2
2 1 3, 70.61, 15.7

Structure:
```
data_YErMgRu
_space_group_name_H-M_alt 'P 4 m m'
_space_group_IT_number 99
_space_group_name_Hall 'P 4 -2'
_cell_length_a 3.4411
_cell_length_b 3.4411
_cell_length_c 8.0250
_cell_angle_alpha 90.00
_cell_angle_beta 90.00
_cell_angle_gamma 90.00
loop_
_atom_site_label
_atom_site_fract_x
_atom_site_fract_y
_atom_site_fract_z
Y1 0.0000 0.0000 0.0000
Er1 0.0000 0.0000 0.5915
Mg1 0.5000 0.5000 0.2983
Ru1 0.5000 0.5000 0.7904
```

=====

3.
Structure and computed XRD peak list of ErMgS (a PBE-relaxed structure; a wavelength of 1.5418 Å).
No peak broadening, texture or thermal motion is included.

Largest 10 diffraction maxima, in order of rising 2θ, 10 to 90 degrees two-theta:
hkl, 2theta, I/Imax
1 0 1, 21.92, 100.0
0 0 6, 24.10, 29.7
1 0 4, 26.95, 31.7
0 1 5, 29.58, 55.0
1 0 7, 35.75, 36.2
1 1 0, 37.77, 69.2
0 2 1, 44.09, 16.0
1 1 6, 45.31, 33.4
1 0 10, 46.52, 17.2
1 1 9, 53.53, 15.3

Structure:
```
data_ErMgS
_space_group_name_H-M_alt 'R -3 m'
_space_group_IT_number 166
_space_group_name_Hall '-R 3 2"'
_cell_length_a 4.7636
_cell_length_b 4.7636
_cell_length_c 22.1595
_cell_angle_alpha 90.00
_cell_angle_beta 90.00
_cell_angle_gamma 120.00
loop_
_atom_site_label
_atom_site_fract_x
_atom_site_fract_y
_atom_site_fract_z
Er1 0.0000 0.0000 0.0910
Mg1 0.0000 0.0000 0.3299
S1 0.0000 0.0000 0.2155
```

=====

4.
Structure and computed XRD peak list of Er2MgS4 (a PBE-relaxed structure; a wavelength of 1.5418 Å).
No peak broadening, texture or thermal motion is included.

Largest 10 diffraction maxima, in order of rising 2θ, 10 to 90 degrees two-theta:
hkl, 2theta, I/Imax
1 0 2, 15.05, 89.5
2 0 3, 24.56, 87.6
2 1 0, 27.32, 100.0
0 1 3, 30.86, 30.1
3 1 1, 32.43, 33.0
3 1 2, 34.52, 53.2
1 1 5, 41.94, 33.8
4 1 3, 42.47, 44.2
0 2 0, 47.56, 24.4
1 1 6, 47.93, 33.4

Structure:
```
data_Er2MgS4
_space_group_name_H-M_alt 'P n m a'
_space_group_IT_number 62
_space_group_name_Hall '-P 2ac 2n'
_cell_length_a 12.5434
_cell_length_b 3.8234
_cell_length_c 13.3278
_cell_angle_alpha 90.00
_cell_angle_beta 90.00
_cell_angle_gamma 90.00
loop_
_atom_site_label
_atom_site_fract_x
_atom_site_fract_y
_atom_site_fract_z
Er1 0.1172 0.2500 0.0758
Er2 0.1384 0.2500 0.7049
Mg1 0.1121 0.7500 0.4528
S1 0.0087 0.7500 0.6168
S2 0.0274 0.2500 0.8835
S3 0.2261 0.2500 0.2485
S4 0.2388 0.2500 0.5164
```